Entry 1:
Simulated XRD peak list
Compound: Ba2YF7
Radiation: Cu Kα, 1.54184 Å
Structure: a DFT-relaxed cell (GGA-PBE, the Materials Project)

Cell and atoms:
Unit cell a=5.932 b=13.229 c=8.924 alpha=90.00 beta=90.66 gamma=90.00
Element x y z (fractional)
Ba: 0.234 0.220 0.447
Ba: 0.234 0.280 0.947
Ba: 0.238 0.563 0.323
Ba: 0.238 0.937 0.823
Ba: 0.762 0.063 0.177
Ba: 0.762 0.437 0.677
Ba: 0.766 0.720 0.053
Ba: 0.766 0.780 0.553
Y: 0.279 0.626 0.784
Y: 0.279 0.874 0.284
Y: 0.721 0.126 0.716
Y: 0.721 0.374 0.216
F: 0.020 0.747 0.303
F: 0.020 0.753 0.803
F: 0.021 0.605 0.592
F: 0.021 0.895 0.092
F: 0.200 0.039 0.288
F: 0.200 0.461 0.788
F: 0.206 0.640 0.027
F: 0.206 0.860 0.527
F: 0.381 0.075 0.631
F: 0.381 0.425 0.131
F: 0.491 0.732 0.295
F: 0.491 0.768 0.795
F: 0.492 0.606 0.576
F: 0.492 0.894 0.076
F: 0.508 0.106 0.924
F: 0.508 0.394 0.424
F: 0.509 0.232 0.205
F: 0.509 0.268 0.705
F: 0.619 0.575 0.869
F: 0.619 0.925 0.369
F: 0.794 0.140 0.473
F: 0.794 0.360 0.973
F: 0.800 0.539 0.212
F: 0.800 0.961 0.712
F: 0.979 0.105 0.908
F: 0.979 0.395 0.408
F: 0.980 0.247 0.197
F: 0.980 0.253 0.697

Peak list (10 most intense, 2θ from 5° to 70°, low angle first)
2θ 24.06, d = 3.699 Å, rel. 20
2θ 24.83, d = 3.585 Å, rel. 18
2θ 25.15, d = 3.541 Å, rel. 100
2θ 25.74, d = 3.461 Å, rel. 33
2θ 26.01, d = 3.425 Å, rel. 21
2θ 30.13, d = 2.966 Å, rel. 27
2θ 41.01, d = 2.201 Å, rel. 27
2θ 42.10, d = 2.147 Å, rel. 22
2θ 42.23, d = 2.140 Å, rel. 18
2θ 45.04, d = 2.013 Å, rel. 20

***

Entry 2:
Simulated XRD peak list
Compound: Ba2YF7
Radiation: Cu Kα, 1.54184 Å
Structure: a DFT-relaxed cell (GGA-PBE, the Materials Project)

Cell and atoms:
Unit cell a=5.978 b=12.157 c=10.046 alpha=90.00 beta=90.34 gamma=90.00
Element x y z (fractional)
Ba: 0.223 0.000 0.107
Ba: 0.235 0.761 0.703
Ba: 0.240 0.622 0.216
Ba: 0.242 0.376 0.612
Ba: 0.758 0.876 0.388
Ba: 0.760 0.122 0.784
Ba: 0.765 0.261 0.297
Ba: 0.777 0.500 0.893
Y: 0.270 0.077 0.524
Y: 0.290 0.299 0.033
Y: 0.710 0.799 0.967
Y: 0.730 0.577 0.476
F: 0.002 0.186 0.025
F: 0.015 0.206 0.509
F: 0.038 0.948 0.587
F: 0.075 0.559 0.704
F: 0.079 0.819 0.214
F: 0.080 0.440 0.089
F: 0.271 0.141 0.731
F: 0.313 0.231 0.238
F: 0.402 0.002 0.345
F: 0.410 0.372 0.852
F: 0.417 0.892 0.892
F: 0.464 0.469 0.392
F: 0.470 0.710 0.483
F: 0.494 0.654 0.004
F: 0.506 0.154 0.996
F: 0.530 0.210 0.517
F: 0.536 0.969 0.608
F: 0.583 0.392 0.108
F: 0.590 0.872 0.148
F: 0.598 0.502 0.655
F: 0.687 0.731 0.762
F: 0.729 0.641 0.269
F: 0.920 0.940 0.911
F: 0.921 0.319 0.786
F: 0.925 0.059 0.296
F: 0.962 0.448 0.413
F: 0.985 0.706 0.491
F: 0.998 0.686 0.975

Peak list (10 most intense, 2θ from 5° to 70°, low angle first)
2θ 22.65, d = 3.926 Å, rel. 100
2θ 23.05, d = 3.859 Å, rel. 63
2θ 23.20, d = 3.834 Å, rel. 78
2θ 23.68, d = 3.758 Å, rel. 63
2θ 24.21, d = 3.676 Å, rel. 68
2θ 24.34, d = 3.657 Å, rel. 58
2θ 26.58, d = 3.354 Å, rel. 65
2θ 28.04, d = 3.182 Å, rel. 69
2θ 38.50, d = 2.338 Å, rel. 57
2θ 43.05, d = 2.101 Å, rel. 54

***

Entry 3:
Simulated XRD peak list
Compound: BaY3F11
Radiation: Cu Kα, 1.54184 Å
Structure: a DFT-relaxed cell (GGA-PBE, the Materials Project)

Cell and atoms:
Unit cell a=8.681 b=4.429 c=16.267 alpha=90.00 beta=90.00 gamma=90.00
Element x y z (fractional)
Ba: 0.250 0.000 0.015
Ba: 0.750 0.000 0.985
Y: 0.000 0.000 0.500
Y: 0.001 0.000 0.236
Y: 0.499 0.000 0.236
Y: 0.500 0.000 0.500
Y: 0.501 0.000 0.764
Y: 0.999 0.000 0.764
F: 0.000 0.500 0.500
F: 0.007 0.500 0.759
F: 0.033 0.000 0.898
F: 0.051 0.000 0.368
F: 0.250 0.000 0.207
F: 0.250 0.000 0.526
F: 0.250 0.000 0.746
F: 0.250 0.500 0.075
F: 0.449 0.000 0.368
F: 0.467 0.000 0.898
F: 0.493 0.500 0.759
F: 0.500 0.500 0.500
F: 0.507 0.500 0.241
F: 0.533 0.000 0.102
F: 0.551 0.000 0.632
F: 0.750 0.000 0.254
F: 0.750 0.000 0.474
F: 0.750 0.000 0.793
F: 0.750 0.500 0.925
F: 0.949 0.000 0.632
F: 0.967 0.000 0.102
F: 0.993 0.500 0.241

Peak list (10 most intense, 2θ from 5° to 70°, low angle first)
2θ 20.05, d = 4.429 Å, rel. 100
2θ 21.19, d = 4.194 Å, rel. 38
2θ 21.86, d = 4.067 Å, rel. 62
2θ 23.23, d = 3.829 Å, rel. 32
2θ 26.30, d = 3.388 Å, rel. 30
2θ 29.83, d = 2.996 Å, rel. 31
2θ 40.74, d = 2.215 Å, rel. 27
2θ 41.62, d = 2.170 Å, rel. 22
2θ 46.65, d = 1.947 Å, rel. 33
2θ 47.47, d = 1.915 Å, rel. 27

***

Entry 4:
Simulated XRD peak list
Compound: Ba2YF7
Radiation: Cu Kα, 1.54184 Å
Structure: a DFT-relaxed cell (GGA-PBE, the Materials Project)

Cell and atoms:
Unit cell a=7.704 b=7.704 c=8.232 alpha=121.32 beta=121.32 gamma=52.42
Element x y z (fractional)
Ba: 0.173 0.186 0.261
Ba: 0.186 0.173 0.761
Ba: 0.814 0.827 0.239
Ba: 0.827 0.814 0.739
Y: 0.485 0.515 0.250
Y: 0.515 0.485 0.750
F: 0.134 0.614 0.546
F: 0.135 0.865 0.250
F: 0.197 0.430 0.140
F: 0.279 0.557 0.927
F: 0.386 0.866 0.954
F: 0.430 0.197 0.640
F: 0.443 0.721 0.573
F: 0.557 0.279 0.427
F: 0.570 0.803 0.360
F: 0.614 0.134 0.046
F: 0.721 0.443 0.073
F: 0.803 0.570 0.860
F: 0.865 0.135 0.750
F: 0.866 0.386 0.454

Peak list (10 most intense, 2θ from 5° to 70°, low angle first)
2θ 26.19, d = 3.402 Å, rel. 34
2θ 26.62, d = 3.348 Å, rel. 100
2θ 27.12, d = 3.288 Å, rel. 61
2θ 37.66, d = 2.389 Å, rel. 41
2θ 39.11, d = 2.303 Å, rel. 20
2θ 46.50, d = 1.953 Å, rel. 23
2θ 46.67, d = 1.946 Å, rel. 22
2θ 46.79, d = 1.942 Å, rel. 21
2θ 47.54, d = 1.913 Å, rel. 17
2θ 47.68, d = 1.907 Å, rel. 18

***

Entry 5:
Simulated XRD peak list
Compound: Ba2YF7
Radiation: Cu Kα, 1.54184 Å
Structure: a DFT-relaxed cell (GGA-PBE, the Materials Project)

Cell and atoms:
Unit cell a=8.989 b=8.144 c=11.345 alpha=90.00 beta=90.00 gamma=90.00
Element x y z (fractional)
Ba: 0.107 0.250 0.243
Ba: 0.195 0.750 0.395
Ba: 0.305 0.250 0.895
Ba: 0.393 0.750 0.743
Ba: 0.607 0.250 0.257
Ba: 0.695 0.750 0.105
Ba: 0.805 0.250 0.605
Ba: 0.893 0.750 0.757
Y: 0.186 0.750 0.056
Y: 0.314 0.250 0.556
Y: 0.686 0.750 0.444
Y: 0.814 0.250 0.944
F: 0.043 0.250 0.013
F: 0.094 0.250 0.634
F: 0.126 0.570 0.192
F: 0.126 0.930 0.192
F: 0.133 0.750 0.624
F: 0.249 0.075 0.416
F: 0.249 0.425 0.416
F: 0.251 0.575 0.916
F: 0.251 0.925 0.916
F: 0.367 0.250 0.124
F: 0.374 0.070 0.692
F: 0.374 0.430 0.692
F: 0.406 0.750 0.134
F: 0.457 0.750 0.513
F: 0.543 0.250 0.487
F: 0.594 0.250 0.866
F: 0.626 0.570 0.308
F: 0.626 0.930 0.308
F: 0.633 0.750 0.876
F: 0.749 0.075 0.084
F: 0.749 0.425 0.084
F: 0.751 0.575 0.584
F: 0.751 0.925 0.584
F: 0.867 0.250 0.376
F: 0.874 0.070 0.808
F: 0.874 0.430 0.808
F: 0.906 0.750 0.366
F: 0.957 0.750 0.987

Peak list (10 most intense, 2θ from 5° to 70°, low angle first)
2θ 21.26, d = 4.179 Å, rel. 73
2θ 21.83, d = 4.072 Å, rel. 100
2θ 23.94, d = 3.718 Å, rel. 23
2θ 25.98, d = 3.430 Å, rel. 85
2θ 27.59, d = 3.233 Å, rel. 52
2θ 30.66, d = 2.916 Å, rel. 29
2θ 39.15, d = 2.301 Å, rel. 26
2θ 40.92, d = 2.205 Å, rel. 42
2θ 41.69, d = 2.166 Å, rel. 26
2θ 42.02, d = 2.150 Å, rel. 25

***

Entry 6:
Simulated XRD peak list
Compound: Ba2ZnF6
Radiation: Cu Kα, 1.54184 Å
Structure: a DFT-relaxed cell (GGA-PBE, the Materials Project)

Cell and atoms:
Unit cell a=8.693 b=8.693 c=8.693 alpha=152.04 beta=152.04 gamma=39.96
Element x y z (fractional)
Ba: 0.152 0.152 0.000
Ba: 0.848 0.848 0.000
Zn: 0.500 0.500 0.000
F: 0.000 0.500 0.500
F: 0.250 0.750 0.500
F: 0.379 0.379 0.000
F: 0.500 0.000 0.500
F: 0.621 0.621 0.000
F: 0.750 0.250 0.500

Peak list (10 most intense, 2θ from 5° to 70°, low angle first)
2θ 26.80, d = 3.326 Å, rel. 100
2θ 30.09, d = 2.970 Å, rel. 36
2θ 32.89, d = 2.723 Å, rel. 14
2θ 37.44, d = 2.402 Å, rel. 29
2θ 43.07, d = 2.100 Å, rel. 31
2θ 44.38, d = 2.041 Å, rel. 11
2θ 45.17, d = 2.007 Å, rel. 22
2θ 51.46, d = 1.776 Å, rel. 33
2θ 55.11, d = 1.666 Å, rel. 11
2θ 55.23, d = 1.663 Å, rel. 12

***

Entry 7:
Simulated XRD peak list
Compound: BaZnF4
Radiation: Cu Kα, 1.54184 Å
Structure: a DFT-relaxed cell (GGA-PBE, the Materials Project)

Cell and atoms:
Unit cell a=4.210 b=5.992 c=15.158 alpha=90.00 beta=106.02 gamma=90.00
Element x y z (fractional)
Ba: 0.000 0.114 0.000
Ba: 0.000 0.886 0.500
Ba: 0.761 0.367 0.255
Ba: 0.761 0.633 0.755
Zn: 0.282 0.129 0.775
Zn: 0.282 0.871 0.275
Zn: 0.483 0.383 0.481
Zn: 0.483 0.617 0.981
F: 0.190 0.122 0.186
F: 0.190 0.878 0.686
F: 0.207 0.400 0.700
F: 0.207 0.600 0.200
F: 0.380 0.137 0.372
F: 0.380 0.863 0.872
F: 0.387 0.358 0.886
F: 0.387 0.642 0.386
F: 0.558 0.117 0.559
F: 0.558 0.883 0.059
F: 0.573 0.362 0.070
F: 0.573 0.638 0.570
F: 0.802 0.122 0.796
F: 0.802 0.878 0.296
F: 0.961 0.378 0.459
F: 0.961 0.622 0.959

Peak list (10 most intense, 2θ from 5° to 70°, low angle first)
2θ 24.44, d = 3.642 Å, rel. 75
2θ 26.59, d = 3.353 Å, rel. 56
2θ 28.66, d = 3.114 Å, rel. 100
2θ 30.46, d = 2.935 Å, rel. 45
2θ 31.85, d = 2.810 Å, rel. 47
2θ 36.82, d = 2.441 Å, rel. 28
2θ 42.96, d = 2.105 Å, rel. 38
2θ 43.31, d = 2.089 Å, rel. 54
2θ 45.71, d = 1.985 Å, rel. 30
2θ 62.65, d = 1.483 Å, rel. 32

***

Entry 8:
Simulated XRD peak list
Compound: Ba6Zn7F26
Radiation: Cu Kα, 1.54184 Å
Structure: a DFT-relaxed cell (GGA-PBE, the Materials Project)

Cell and atoms:
Unit cell a=10.347 b=10.347 c=12.480 alpha=126.40 beta=126.40 gamma=33.86
Element x y z (fractional)
Ba: 0.143 0.143 0.405
Ba: 0.156 0.156 0.894
Ba: 0.353 0.353 0.849
Ba: 0.647 0.647 0.151
Ba: 0.844 0.844 0.106
Ba: 0.857 0.857 0.595
Zn: 0.000 0.000 0.000
Zn: 0.244 0.756 0.500
Zn: 0.278 0.278 0.288
Zn: 0.486 0.486 0.220
Zn: 0.514 0.514 0.780
Zn: 0.722 0.722 0.712
Zn: 0.756 0.244 0.500
F: 0.021 0.495 0.381
F: 0.023 0.482 0.147
F: 0.091 0.091 0.581
F: 0.126 0.126 0.163
F: 0.223 0.759 0.326
F: 0.226 0.727 0.087
F: 0.241 0.777 0.674
F: 0.273 0.774 0.913
F: 0.358 0.358 0.085
F: 0.388 0.388 0.675
F: 0.411 0.411 0.418
F: 0.482 0.023 0.147
F: 0.495 0.021 0.381
F: 0.505 0.979 0.619
F: 0.518 0.977 0.853
F: 0.589 0.589 0.582
F: 0.612 0.612 0.325
F: 0.642 0.642 0.915
F: 0.727 0.226 0.087
F: 0.759 0.223 0.326
F: 0.774 0.273 0.913
F: 0.777 0.241 0.674
F: 0.874 0.874 0.837
F: 0.909 0.909 0.419
F: 0.977 0.518 0.853
F: 0.979 0.505 0.619

Peak list (10 most intense, 2θ from 5° to 70°, low angle first)
2θ 26.71, d = 3.338 Å, rel. 100
2θ 26.94, d = 3.309 Å, rel. 100
2θ 28.34, d = 3.149 Å, rel. 24
2θ 28.61, d = 3.120 Å, rel. 60
2θ 29.65, d = 3.013 Å, rel. 34
2θ 34.69, d = 2.586 Å, rel. 23
2θ 37.80, d = 2.380 Å, rel. 42
2θ 41.68, d = 2.167 Å, rel. 62
2θ 49.39, d = 1.845 Å, rel. 21
2θ 50.85, d = 1.796 Å, rel. 20

***

Repeat the second record exactly.
Simulated XRD peak list
Compound: Ba2YF7
Radiation: Cu Kα, 1.54184 Å
Structure: a DFT-relaxed cell (GGA-PBE, the Materials Project)

Cell and atoms:
Unit cell a=5.978 b=12.157 c=10.046 alpha=90.00 beta=90.34 gamma=90.00
Element x y z (fractional)
Ba: 0.223 0.000 0.107
Ba: 0.235 0.761 0.703
Ba: 0.240 0.622 0.216
Ba: 0.242 0.376 0.612
Ba: 0.758 0.876 0.388
Ba: 0.760 0.122 0.784
Ba: 0.765 0.261 0.297
Ba: 0.777 0.500 0.893
Y: 0.270 0.077 0.524
Y: 0.290 0.299 0.033
Y: 0.710 0.799 0.967
Y: 0.730 0.577 0.476
F: 0.002 0.186 0.025
F: 0.015 0.206 0.509
F: 0.038 0.948 0.587
F: 0.075 0.559 0.704
F: 0.079 0.819 0.214
F: 0.080 0.440 0.089
F: 0.271 0.141 0.731
F: 0.313 0.231 0.238
F: 0.402 0.002 0.345
F: 0.410 0.372 0.852
F: 0.417 0.892 0.892
F: 0.464 0.469 0.392
F: 0.470 0.710 0.483
F: 0.494 0.654 0.004
F: 0.506 0.154 0.996
F: 0.530 0.210 0.517
F: 0.536 0.969 0.608
F: 0.583 0.392 0.108
F: 0.590 0.872 0.148
F: 0.598 0.502 0.655
F: 0.687 0.731 0.762
F: 0.729 0.641 0.269
F: 0.920 0.940 0.911
F: 0.921 0.319 0.786
F: 0.925 0.059 0.296
F: 0.962 0.448 0.413
F: 0.985 0.706 0.491
F: 0.998 0.686 0.975

Peak list (10 most intense, 2θ from 5° to 70°, low angle first)
2θ 22.65, d = 3.926 Å, rel. 100
2θ 23.05, d = 3.859 Å, rel. 63
2θ 23.20, d = 3.834 Å, rel. 78
2θ 23.68, d = 3.758 Å, rel. 63
2θ 24.21, d = 3.676 Å, rel. 68
2θ 24.34, d = 3.657 Å, rel. 58
2θ 26.58, d = 3.354 Å, rel. 65
2θ 28.04, d = 3.182 Å, rel. 69
2θ 38.50, d = 2.338 Å, rel. 57
2θ 43.05, d = 2.101 Å, rel. 54

***

Please write out number 2 again, unchanged.
Simulated XRD peak list
Compound: Ba2YF7
Radiation: Cu Kα, 1.54184 Å
Structure: a DFT-relaxed cell (GGA-PBE, the Materials Project)

Cell and atoms:
Unit cell a=5.978 b=12.157 c=10.046 alpha=90.00 beta=90.34 gamma=90.00
Element x y z (fractional)
Ba: 0.223 0.000 0.107
Ba: 0.235 0.761 0.703
Ba: 0.240 0.622 0.216
Ba: 0.242 0.376 0.612
Ba: 0.758 0.876 0.388
Ba: 0.760 0.122 0.784
Ba: 0.765 0.261 0.297
Ba: 0.777 0.500 0.893
Y: 0.270 0.077 0.524
Y: 0.290 0.299 0.033
Y: 0.710 0.799 0.967
Y: 0.730 0.577 0.476
F: 0.002 0.186 0.025
F: 0.015 0.206 0.509
F: 0.038 0.948 0.587
F: 0.075 0.559 0.704
F: 0.079 0.819 0.214
F: 0.080 0.440 0.089
F: 0.271 0.141 0.731
F: 0.313 0.231 0.238
F: 0.402 0.002 0.345
F: 0.410 0.372 0.852
F: 0.417 0.892 0.892
F: 0.464 0.469 0.392
F: 0.470 0.710 0.483
F: 0.494 0.654 0.004
F: 0.506 0.154 0.996
F: 0.530 0.210 0.517
F: 0.536 0.969 0.608
F: 0.583 0.392 0.108
F: 0.590 0.872 0.148
F: 0.598 0.502 0.655
F: 0.687 0.731 0.762
F: 0.729 0.641 0.269
F: 0.920 0.940 0.911
F: 0.921 0.319 0.786
F: 0.925 0.059 0.296
F: 0.962 0.448 0.413
F: 0.985 0.706 0.491
F: 0.998 0.686 0.975

Peak list (10 most intense, 2θ from 5° to 70°, low angle first)
2θ 22.65, d = 3.926 Å, rel. 100
2θ 23.05, d = 3.859 Å, rel. 63
2θ 23.20, d = 3.834 Å, rel. 78
2θ 23.68, d = 3.758 Å, rel. 63
2θ 24.21, d = 3.676 Å, rel. 68
2θ 24.34, d = 3.657 Å, rel. 58
2θ 26.58, d = 3.354 Å, rel. 65
2θ 28.04, d = 3.182 Å, rel. 69
2θ 38.50, d = 2.338 Å, rel. 57
2θ 43.05, d = 2.101 Å, rel. 54